Structure and theoretical powder X-ray diffraction pattern of Li2MgCuF6 (a structure optimized by DFT (PBE); Cu Kα, 1.54184 Å).
Lines closer than 0.1° are merged.

Crystal structure
```
10
Lattice="5.013 0.000 0.000 2.403 4.571 0.000 0.028 2.650 4.672" Properties=species:S:1:pos:R:3 pbc="T T T"
Li 0.000 0.000 0.000
Li 4.867 5.832 2.369
Mg 2.431 4.191 2.912
Cu 4.938 2.877 0.585
F 0.736 0.960 1.616
F 1.705 2.581 3.757
F 3.335 2.850 1.653
F 4.125 4.271 4.000
F 5.850 4.242 1.610
F 6.473 5.599 3.985
```

The 8 most intense peaks (15 to 90 degrees two-theta), most intense first:
index	2theta	I (rel.)
1 0 -1	24.4	100
0 1 0	22.4	61
1 -1 0	37.9	40
1 0 1	31.6	31
2 1 -1	41.2	25
1 2 2	41.1	24
1 2 3	54.7	22
1 1 -1	32.4	19